Entry 1:
The following is a calculated XRD peak list of Li6Cu2Pt. It was derived from a crystal structure in Alexandria, relaxed with PBE, using Cu Kα (λ = 1.5418 Å).

Cell and atoms:
```
data_Li6Cu2Pt
_space_group_name_H-M_alt 'R -3 m'
_space_group_IT_number 166
_space_group_name_Hall '-R 3 2"'
_cell_length_a 7.4531
_cell_length_b 7.4531
_cell_length_c 7.7015
_cell_angle_alpha 90.00
_cell_angle_beta 90.00
_cell_angle_gamma 120.00
loop_
_atom_site_label
_atom_site_type_symbol
_atom_site_fract_x
_atom_site_fract_y
_atom_site_fract_z
Li1 Li 0.0000 0.3366 0.0000
Cu1 Cu 0.0000 0.0000 0.1627
Pt1 Pt 0.0000 0.0000 0.5000
```

The 12 most intense peaks (10 to 90 degrees two-theta), by angle:
two_theta  I/Imax  hkl
17.9  27  1 0 1
23.9  100  1 1 0
27.0  12  0 1 2
35.0  11  0 0 3
38.7  8  2 1 1
42.0  30  3 0 0
42.8  52  1 1 3
48.9  14  2 2 0
55.7  17  3 0 3
61.5  17  2 2 3
66.4  11  4 1 0
77.3  17  4 1 3

---

Entry 2:
The following is a calculated XRD peak list of Ho2Tm2Zn. It was derived from a crystal structure in Alexandria, relaxed with PBE, using Cu Kα (λ = 1.5418 Å).

Cell and atoms:
```
data_Ho2Tm2Zn
_space_group_name_H-M_alt 'I 41/a m d'
_space_group_IT_number 141
_cell_length_a 4.912
_cell_length_b 4.912
_cell_length_c 23.952
_cell_angle_alpha 90.00
_cell_angle_beta 90.00
_cell_angle_gamma 90.00
loop_
_space_group_symop_operation_xyz
'x,y,z'
'-x,-y,-z'
'-y+1/4,x+3/4,z+1/4'
'y+1/4,-x+3/4,-z+1/4'
'-x+1/2,-y,z+1/2'
'x+1/2,y,-z+1/2'
'y+1/4,-x+1/4,z+3/4'
'-y+1/4,x+1/4,-z+3/4'
'x,-y,-z'
'-x,y,z'
'-y+1/4,-x+1/4,-z+3/4'
'y+1/4,x+1/4,z+3/4'
'-x+1/2,y,-z+1/2'
'x+1/2,-y,z+1/2'
'y+1/4,x+3/4,-z+1/4'
'-y+1/4,-x+3/4,z+1/4'
'x+1/2,y+1/2,z+1/2'
'-x+1/2,-y+1/2,-z+1/2'
'-y+3/4,x+1/4,z+3/4'
'y+3/4,-x+1/4,-z+3/4'
'-x,-y+1/2,z'
'x,y+1/2,-z'
'y+3/4,-x+3/4,z+1/4'
'-y+3/4,x+3/4,-z+1/4'
'x+1/2,-y+1/2,-z+1/2'
'-x+1/2,y+1/2,z+1/2'
'-y+3/4,-x+3/4,-z+1/4'
'y+3/4,x+3/4,z+1/4'
'-x,y+1/2,-z'
'x,-y+1/2,z'
'y+3/4,x+1/4,-z+3/4'
'-y+3/4,-x+1/4,z+3/4'
loop_
_atom_site_label
_atom_site_type_symbol
_atom_site_fract_x
_atom_site_fract_y
_atom_site_fract_z
Ho1 Ho 0.000 0.250 0.051
Tm1 Tm 0.000 0.250 0.195
Zn1 Zn 0.000 0.250 0.875
```

The 12 most intense peaks (10 to 90 degrees two-theta), by angle:
two_theta  I/Imax  hkl
26.7  48  1 1 2
29.8  21  0 0 8
34.2  100  1 1 6
36.6  50  2 0 0
47.9  23  2 0 8
52.7  18  2 2 0
59.7  11  2 0 12
60.1  10  3 1 2
60.3  15  1 1 14
61.8  11  2 2 8
64.4  32  3 1 6
84.2  12  3 1 14

---

Entry 3:
The following is a calculated XRD peak list of Tl6Hg3Se. It was derived from a crystal structure in Alexandria, relaxed with PBE, using Cu Kα (λ = 1.5418 Å).

Cell and atoms:
```
data_Tl6Hg3Se
_space_group_name_H-M_alt 'P 1 21/m 1'
_space_group_IT_number 11
_space_group_name_Hall '-P 2yb'
_cell_length_a 11.906
_cell_length_b 4.007
_cell_length_c 13.510
_cell_angle_alpha 90.00
_cell_angle_beta 107.03
_cell_angle_gamma 90.00
loop_
_atom_site_label
_atom_site_type_symbol
_atom_site_fract_x
_atom_site_fract_y
_atom_site_fract_z
Tl1 Tl 0.117 0.250 0.208
Tl2 Tl 0.153 0.750 0.768
Tl3 Tl 0.222 0.750 0.422
Tl4 Tl 0.334 0.250 0.646
Tl5 Tl 0.338 0.250 0.970
Tl6 Tl 0.373 0.750 0.203
Hg1 Hg 0.044 0.250 0.586
Hg2 Hg 0.112 0.750 0.007
Hg3 Hg 0.445 0.250 0.409
Se1 Se 0.435 0.750 0.837
```

The 12 most intense peaks (10 to 90 degrees two-theta), by angle:
two_theta  I/Imax  hkl
26.2  16  0 1 2
28.5  15  1 1 2
29.9  44  1 1 -3
30.1  15  4 0 -1
30.4  42  4 0 -2
30.9  16  1 0 4
31.4  62  2 1 -3
32.7  19  2 1 2
34.7  100  0 0 5
45.3  30  0 2 0
58.3  15  0 2 5
59.9  22  3 1 6

---

Entry 4:
The following is a calculated XRD peak list of Pm8NiPb3. It was derived from a crystal structure in Alexandria, relaxed with PBE, using Cu Kα (λ = 1.5418 Å).

Cell and atoms:
```
data_Pm8NiPb3
_space_group_name_H-M_alt 'I 4/m m m'
_space_group_IT_number 139
_space_group_name_Hall '-I 4 2'
_cell_length_a 7.383
_cell_length_b 7.383
_cell_length_c 14.819
_cell_angle_alpha 90.00
_cell_angle_beta 90.00
_cell_angle_gamma 90.00
loop_
_atom_site_label
_atom_site_type_symbol
_atom_site_fract_x
_atom_site_fract_y
_atom_site_fract_z
Pm1 Pm 0.235 0.235 0.116
Ni1 Ni 0.000 0.000 0.000
Pb1 Pb 0.000 0.000 0.500
Pb2 Pb 0.000 0.500 0.250
```

The 12 most intense peaks (10 to 90 degrees two-theta), by angle:
two_theta  I/Imax  hkl
20.8  32  1 1 2
24.1  9  2 0 0
34.3  100  2 2 0
40.4  6  1 1 6
40.5  12  3 1 2
49.2  6  0 0 8
49.4  12  4 0 0
54.1  8  3 3 2
61.4  11  2 2 8
61.5  23  4 2 4
72.3  7  4 0 8
82.6  9  6 2 0

---

Entry 5:
The following is a calculated XRD peak list of Ac5NdIr3. It was derived from a crystal structure in Alexandria, relaxed with PBE, using Cu Kα (λ = 1.5418 Å).

Cell and atoms:
```
data_Ac5NdIr3
_space_group_name_H-M_alt 'C 1 2/m 1'
_space_group_IT_number 12
_space_group_name_Hall '-C 2y'
_cell_length_a 13.281
_cell_length_b 10.060
_cell_length_c 10.805
_cell_angle_alpha 90.00
_cell_angle_beta 113.63
_cell_angle_gamma 90.00
loop_
_atom_site_label
_atom_site_type_symbol
_atom_site_fract_x
_atom_site_fract_y
_atom_site_fract_z
Ac1 Ac 0.000 0.202 0.000
Ac2 Ac 0.062 0.000 0.364
Ac3 Ac 0.168 0.302 0.663
Ac4 Ac 0.232 0.500 0.036
Nd1 Nd 0.097 0.500 0.297
Ir1 Ir 0.000 0.500 0.000
Ir2 Ir 0.000 0.500 0.500
Ir3 Ir 0.166 0.000 0.166
Ir4 Ir 0.173 0.000 0.663
```

The 12 most intense peaks (10 to 90 degrees two-theta), by angle:
two_theta  I/Imax  hkl
17.6  38  0 2 0
18.0  54  2 0 -2
26.8  90  2 2 1
27.0  89  0 0 3
28.1  34  1 3 -1
28.6  30  3 1 -3
34.7  62  1 3 2
35.1  51  5 1 -2
35.7  31  0 4 0
36.5  30  4 0 -4
40.6  40  4 0 2
43.6  100  5 3 -2

---

Entry 6:
The following is a calculated XRD peak list of TbPmSmSc. It was derived from a crystal structure in Alexandria, relaxed with PBE, using Cu Kα (λ = 1.5418 Å).

Cell and atoms:
```
data_TbPmSmSc
_space_group_name_H-M_alt 'C 1 m 1'
_space_group_IT_number 8
_space_group_name_Hall 'C -2y'
_cell_length_a 12.245
_cell_length_b 5.689
_cell_length_c 3.777
_cell_angle_alpha 90.00
_cell_angle_beta 107.83
_cell_angle_gamma 90.00
loop_
_atom_site_label
_atom_site_type_symbol
_atom_site_fract_x
_atom_site_fract_y
_atom_site_fract_z
Tb1 Tb 0.000 0.000 0.000
Pm1 Pm 0.458 0.000 0.456
Sm1 Sm 0.232 0.500 0.257
Sc1 Sc 0.228 0.000 0.737
```

The 12 most intense peaks (10 to 90 degrees two-theta), by angle:
two_theta  I/Imax  hkl
24.8  9  0 0 1
27.8  15  3 1 0
30.7  25  4 0 0
31.5  28  0 2 0
32.3  100  3 1 -1
44.5  18  4 2 0
48.2  8  2 0 -2
55.5  7  5 1 1
55.6  7  7 1 -1
56.5  26  3 3 -1
58.7  9  2 2 -2
79.7  7  5 1 -3